# KBeP3O9
Simulated powder X-ray diffraction pattern, Cu Ka. Input: a GGA-PBE-relaxed structure.
Lines closer than 0.1° are merged.

Structure:
a = 7.9686 Å, b = 8.7413 Å, c = 11.5753 Å
α = 90.00°, β = 90.00°, γ = 90.00°
Space group P2_12_12_1 (No. 19)
Inequivalent atoms, fractional coordinates:
1 K 0.0021 0.2046 0.0670
2 Be 0.1802 0.2903 0.3727
3 P 0.1814 0.5055 0.7034
4 P 0.1900 0.9976 0.7986
5 P 0.1916 0.7927 0.1175
6 O 0.0030 0.9270 0.7983
7 O 0.0143 0.8514 0.1261
8 O 0.1887 0.0791 0.6716
9 O 0.1940 0.1394 0.2886
10 O 0.2054 0.6502 0.2039
11 O 0.2077 0.5705 0.8229
12 O 0.2146 0.6000 0.5994
13 O 0.2174 0.1113 0.8921
14 O 0.2395 0.2458 0.5018

The 12 most intense peaks (2θ from 15° to 90°), by angle:
hkl, Position (°2θ), I_rel
0 0 2, 15.31, 58
1 1 1, 16.89, 59
2 0 0, 22.31, 61
1 2 1, 24.47, 94
0 1 3, 25.23, 32
0 2 2, 25.54, 93
1 0 3, 25.70, 100
2 0 2, 27.17, 26
0 3 2, 34.48, 24
3 1 2, 38.70, 25
2 3 1, 39.08, 26
3 2 1, 40.49, 24